This entry pairs a crystal structure of Li4V3Ni3Te2O16 with its theoretical powder diffractogram. Radiation: CuKα. Structure: a GGA+U-relaxed structure.
No peak broadening, texture or thermal motion is included.

Top 10 peaks for 10 to 80 degrees two-theta, in order of rising 2θ:
2θ (°), I (rel.), h k l
17.31, 40.0, 0 0 2
18.95, 28.3, 0 1 -1
19.06, 34.2, 0 1 1
19.34, 100.0, 1 0 -1
24.56, 28.9, -1 1 2
31.40, 55.5, 0 1 3
34.51, 32.3, 1 -2 2
34.68, 30.9, 1 1 2
35.18, 32.4, -2 1 2
36.08, 46.8, 2 -2 1

Structural model:
```
data_Li4V3Ni3Te2O16
_cell_length_a 5.8839
_cell_length_b 6.0151
_cell_length_c 10.2396
_cell_angle_alpha 90.28
_cell_angle_beta 90.10
_cell_angle_gamma 119.26
_symmetry_space_group_name_H-M 'P 1'
_symmetry_Int_Tables_number 1
loop_
_symmetry_equiv_pos_as_xyz
'x,y,z'
loop_
_atom_site_label
_atom_site_type_symbol
_atom_site_fract_x
_atom_site_fract_y
_atom_site_fract_z
Li1 Li 0.0000 0.0000 0.0000
Li2 Li 0.0064 0.0139 0.5120
Li3 Li 0.3450 0.6700 0.0940
Li4 Li 0.6591 0.3147 0.5899
V1 V 0.1789 0.3564 0.7614
V2 V 0.3438 0.1831 0.2745
V3 V 0.8462 0.1991 0.2755
Ni1 Ni 0.1706 0.8258 0.7810
Ni2 Ni 0.6587 0.8250 0.7801
Ni3 Ni 0.8327 0.6696 0.2916
Te1 Te 0.3548 0.7073 0.4998
Te2 Te 0.6715 0.3367 0.9808
O1 O 0.0141 0.0243 0.6965
O2 O 0.0147 0.4819 0.6665
O3 O 0.1338 0.2869 0.3855
O4 O 0.1833 0.8688 0.4016
O5 O 0.3128 0.6197 0.8850
O6 O 0.3334 0.1646 0.8928
O7 O 0.4669 0.4828 0.6634
O8 O 0.4797 0.9573 0.6433
O9 O 0.4864 0.4677 0.1831
O10 O 0.5301 0.0247 0.1775
O11 O 0.6740 0.3163 0.3881
O12 O 0.6844 0.8565 0.4063
O13 O 0.8358 0.1646 0.8917
O14 O 0.8367 0.6702 0.8967
O15 O 0.9897 0.4727 0.1786
O16 O 0.9945 0.0032 0.1883
```